Simulated X-ray diffraction stick pattern
Compound: BaAc3La2Se6
Radiation: Cu Ka
Structure: a cell relaxed with PBE
Peak positions follow from Bragg's law for the DFT cell and can differ from measured ones.

Main lines, by angle (15 to 90 degrees two-theta):
2θ (°)  I/Imax  hkl
24.5  27.2  2 0 0
28.4  100.0  2 0 -2
40.6  76.3  1 3 -3
48.0  14.5  3 3 1
50.2  27.3  0 0 4
58.7  12.8  4 0 -4
64.6  6.3  4 0 2
66.5  35.2  3 3 -5
73.8  26.0  2 0 -6
87.8  8.5  2 6 -6

Cell and atoms:
```
data_BaAc3La2Se6
_chemical_formula_sum 'Ba2 Ac6 La4 Se12'
_space_group_name_H-M_alt 'C 1 2/m 1'
_space_group_IT_number 12
_cell_length_a 7.705
_cell_length_b 13.351
_cell_length_c 7.704
_cell_angle_alpha 90.00
_cell_angle_beta 109.47
_cell_angle_gamma 90.00
loop_
_space_group_symop_operation_xyz
'x,y,z'
'-x,-y,-z'
'-x,y,-z'
'x,-y,z'
'x+1/2,y+1/2,z'
'-x+1/2,-y+1/2,-z'
'-x+1/2,y+1/2,-z'
'x+1/2,-y+1/2,z'
loop_
_atom_site_label
_atom_site_fract_x
_atom_site_fract_y
_atom_site_fract_z
Ba1 0.000 0.000 0.000
Ac1 0.000 0.162 0.500
Ac2 0.000 0.500 0.500
La1 0.000 0.333 0.000
Se1 0.236 0.500 0.243
Se2 0.244 0.328 0.751
```